Simulated X-ray powder pattern of EuMgGeAu for a wavelength of 1.5418 Å, from a DFT-relaxed cell (PBE, Alexandria).

Main lines, by angle (10 to 90 degrees two-theta):
index  2theta  Rel. int.
1 1 1  21.78  35
2 0 0  25.20  5
2 2 0  35.94  100
3 1 1  42.42  19
4 0 0  51.73  18
3 3 1  56.77  8
4 2 0  58.39  2
4 2 2  64.60  36
5 1 1  69.05  6
4 4 0  76.19  11
5 3 1  80.37  6
6 2 0  87.23  17

Atomic structure:
Lattice parameters (Å, degrees): 7.0681 7.0681 7.0681 90.00 90.00 90.00
Space group F-43m (No. 216)
One atom of each set of equivalent atoms:
Eu 0.0000 0.0000 0.0000 (multiplicity 4)
Mg 0.0000 0.0000 0.5000 (multiplicity 4)
Ge 0.2500 0.2500 0.7500 (multiplicity 4)
Au 0.2500 0.2500 0.2500 (multiplicity 4)

=====

Simulated X-ray powder pattern of Hf3Rh2 for a wavelength of 1.5418 Å, from a DFT-relaxed cell (PBE, Alexandria).

Main lines, by angle (10 to 90 degrees two-theta):
index  2theta  Rel. int.
3 0 2  30.16  24
1 1 2  32.79  43
4 0 1  35.31  44
2 0 4  36.11  100
0 1 3  36.37  75
4 0 2  37.98  33
3 1 1  38.64  29
3 1 2  41.13  19
2 0 5  43.58  36
4 1 1  45.20  20
4 1 2  47.40  27
0 2 0  56.32  26

Atomic structure:
Lattice parameters (Å, degrees): 10.4329 3.2672 11.3206 90.00 90.00 90.00
Space group Pnma (No. 62)
One atom of each set of equivalent atoms:
Hf 0.0627 0.2500 0.1299 (multiplicity 4)
Hf 0.1356 0.7500 0.5395 (multiplicity 4)
Hf 0.2133 0.2500 0.7693 (multiplicity 4)
Rh 0.0230 0.7500 0.3249 (multiplicity 4)
Rh 0.1751 0.7500 0.9657 (multiplicity 4)

=====

Simulated X-ray powder pattern of Tl2Ga2Br7 for a wavelength of 1.5418 Å, from a DFT-relaxed cell (PBE, Alexandria).

Main lines, by angle (10 to 90 degrees two-theta):
index  2theta  Rel. int.
1 1 1  19.03  74
1 2 -1  19.13  100
1 4 0  25.55  24
1 2 -2  25.80  22
1 0 2  26.79  37
1 4 -1  26.92  40
2 2 -1  29.50  21
0 5 2  34.75  33
2 0 2  36.92  31
2 4 1  37.65  18
0 4 3  39.02  26
3 2 1  45.26  17

Atomic structure:
Lattice parameters (Å, degrees): 6.7181 16.3811 8.4732 90.00 98.54 90.00
Space group P2_1/c (No. 14)
One atom of each set of equivalent atoms:
Tl 0.1175 0.1500 0.4168 (multiplicity 4)
Ga 0.3461 0.6118 0.6532 (multiplicity 4)
Br 0.0698 0.6748 0.4766 (multiplicity 4)
Br 0.2155 0.5546 0.8836 (multiplicity 4)
Br 0.4108 0.2160 0.7426 (multiplicity 4)
Br 0.5000 0.0000 0.0000 (multiplicity 2)

=====

Simulated X-ray powder pattern of Hf8Co2Ag for a wavelength of 1.5418 Å, from a DFT-relaxed cell (PBE, Alexandria).

Main lines, by angle (10 to 90 degrees two-theta):
index  2theta  Rel. int.
4 0 -1  29.66  29
2 0 -2  32.86  41
0 2 1  33.68  100
2 2 -1  35.62  39
2 0 2  36.23  67
2 2 1  37.23  55
5 1 0  37.37  35
3 1 -2  38.63  40
5 1 -1  38.89  32
4 2 0  40.63  43
6 0 -1  42.36  25
0 4 0  61.47  20

Atomic structure:
Lattice parameters (Å, degrees): 13.2339 6.0338 5.6962 90.00 97.47 90.00
Space group C2/m (No. 12)
One atom of each set of equivalent atoms:
Hf 0.0844 0.0000 0.3818 (multiplicity 4)
Hf 0.1231 0.2415 0.8845 (multiplicity 8)
Hf 0.2076 0.5000 0.3707 (multiplicity 4)
Co 0.2345 0.0000 0.1768 (multiplicity 4)
Ag 0.0000 0.5000 0.5000 (multiplicity 2)

=====

Simulated X-ray powder pattern of Tl12Hg7Sb for a wavelength of 1.5418 Å, from a DFT-relaxed cell (PBE, Alexandria).

Main lines, by angle (10 to 90 degrees two-theta):
index  2theta  Rel. int.
4 0 1  31.07  100
3 1 2  31.65  60
0 3 3  33.47  56
3 2 1  33.75  22
1 0 4  33.87  41
0 4 2  34.28  49
4 1 0  34.42  12
4 -2 3  35.98  14
5 -3 2  36.75  16
4 4 0  53.13  19
6 -1 4  54.50  17
7 -3 4  57.99  18

Atomic structure:
Lattice parameters (Å, degrees): 13.7874 13.7874 10.8554 90.00 90.00 120.00
Space group R-3 (No. 148, hexagonal axes)
One atom of each set of equivalent atoms:
Tl 0.0113 0.7489 0.0177 (multiplicity 18)
Tl 0.0687 0.8997 0.7453 (multiplicity 18)
Hg 0.0000 0.0000 0.0000 (multiplicity 3)
Hg 0.0549 0.5538 0.1207 (multiplicity 18)
Sb 0.0000 0.0000 0.5000 (multiplicity 3)